Computed powder diffractogram
Compound: MnIrPt6
Radiation: Cu Kα, 1.54184 Å
Structure: a DFT-relaxed cell (GGA-PBE, Alexandria)
Intensities are scaled so that the largest is 100.

Atomic structure:
```
data_MnIrPt6
_chemical_formula_sum 'Mn2 Ir2 Pt12'
_cell_length_a 8.828
_cell_length_b 3.945
_cell_length_c 7.843
_cell_angle_alpha 90.00
_cell_angle_beta 116.49
_cell_angle_gamma 90.00
_symmetry_space_group_name_H-M 'C 1 2/m 1'
_symmetry_Int_Tables_number 12
loop_
_symmetry_equiv_pos_as_xyz
'x,y,z'
'-x,-y,-z'
'-x,y,-z'
'x,-y,z'
'x+1/2,y+1/2,z'
'-x+1/2,-y+1/2,-z'
'-x+1/2,y+1/2,-z'
'x+1/2,-y+1/2,z'
loop_
_atom_site_label
_atom_site_type_symbol
_atom_site_fract_x
_atom_site_fract_y
_atom_site_fract_z
_atom_site_occupancy
Mn1 Mn 0.000 0.000 0.000 1
Ir1 Ir 0.000 0.000 0.500 1
Pt1 Pt 0.000 0.500 0.247 1
Pt2 Pt 0.248 0.000 0.373 1
Pt3 Pt 0.249 0.000 0.875 1
```

Top 8 peaks for 2θ = 15–90°, sorted by position:
h k l	2theta	intensity
1 1 2	39.63	100.0
4 0 0	45.98	32.9
2 0 -4	46.30	16.1
4 2 0	67.06	10.8
2 0 4	67.34	15.9
7 1 -2	80.69	6.5
1 3 2	80.83	19.4
5 1 -6	81.21	6.4